(1)
Starting from a cell relaxed with PBE, the XRD peak list of PrHSO5 was computed for CuKα.

Top 12 peaks for 2θ from 10° to 80°, in order of rising 2θ:
hkl	2θ/deg	I (rel.)
0 2 0	14.0	1000
0 2 1	19.3	507
1 1 0	22.1	405
1 2 -1	24.7	472
1 0 -2	27.3	759
1 1 1	29.6	592
1 3 0	29.9	483
0 4 1	31.3	636
0 3 2	34.3	258
2 1 -1	40.3	406
1 5 0	41.6	274
1 4 -3	48.2	484

Crystal structure
```
32
Lattice="4.5582 0.0000 0.0000 0.0000 12.6321 0.0000 -2.6195 0.0000 6.6745" Properties=species:S:1:pos:R:3 pbc="T T T"
Pr -0.0561 0.8280 2.0135
Pr -1.3659 5.4880 5.3508
Pr 3.3046 7.1440 1.3237
Pr 1.9948 11.8041 4.6610
H -1.6392 8.2388 6.4265
H -0.3294 10.7093 3.0893
H 2.2681 1.9228 3.5853
H 3.5778 4.3933 0.2480
S -0.4802 1.8324 5.9255
S 0.8296 4.4837 2.5883
S 1.1090 8.1484 4.0863
S 2.4188 10.7997 0.7490
O -1.5873 0.8782 6.3383
O -0.2776 5.4379 3.0010
O -1.0970 3.0885 5.4564
O 0.2127 3.2276 2.1191
O 0.9676 7.3900 0.2489
O -0.3422 11.5581 3.5862
O 0.2379 8.4022 2.9342
O -1.0719 10.5459 6.2715
O 0.2611 1.1960 4.8004
O 1.5708 5.1200 1.4631
O 0.3678 7.5120 5.2114
O 1.6776 11.4361 1.8741
O 3.0105 2.0862 0.4031
O 1.7007 4.2299 3.7403
O 2.2808 1.0740 3.0883
O 0.9711 5.2421 6.4256
O 1.7259 9.4045 4.5555
O 3.0357 9.5436 1.2182
O 2.2162 7.1942 3.6736
O 3.5260 11.7539 0.3363
```

(2)
Starting from a cell relaxed with PBE, the XRD peak list of Sr2H8PtO8 was computed for CuKα.

Top 12 peaks for 2θ from 10° to 80°, in order of rising 2θ:
hkl	2θ/deg	I (rel.)
0 2 0	15.8	774
1 0 0	16.0	654
0 1 1	17.8	873
1 1 -1	19.2	563
1 2 0	22.6	1000
1 1 1	28.0	920
0 3 1	28.8	876
1 0 -2	29.6	504
1 3 -1	29.7	717
2 1 -1	30.7	654
2 1 1	42.5	444
2 4 0	46.0	461

Crystal structure
```
38
Lattice="6.0600 0.0000 0.0000 0.0000 11.1877 0.0000 -2.4244 0.0000 5.5665" Properties=species:S:1:pos:R:3 pbc="T T T"
Sr 0.4316 1.4402 2.1969
Sr -0.7805 4.1536 4.9802
Sr 4.4162 7.0341 0.5863
Sr 3.2040 9.7474 3.3696
H -1.4731 0.9398 4.6238
H -0.2609 4.6541 1.8406
H -1.4522 8.2900 5.2133
H -0.2400 8.4915 2.4301
H -0.0662 6.9601 3.6891
H 1.1460 9.8214 0.9058
H 1.4796 7.7557 1.5298
H 0.2675 9.0258 4.3131
H 3.3682 2.1619 1.2534
H 2.1560 3.4320 4.0367
H 2.4896 1.3663 4.6607
H 3.7018 4.2275 1.8775
H 3.8757 2.6962 3.1364
H 5.0879 2.8976 0.3532
H 3.8965 6.5336 3.7259
H 5.1087 10.2479 0.9427
Pt 3.0300 0.0000 0.0000
Pt 1.8178 5.5938 2.7833
O -0.9653 8.1187 2.9656
O 0.2468 8.6628 0.1823
O -0.8979 0.2626 4.2089
O 0.3143 5.3312 1.4256
O 0.4795 6.2587 4.1779
O 1.6917 10.5228 1.3946
O 2.6151 1.8907 0.6792
O 1.4029 3.7031 3.4624
O 2.2327 7.4845 2.1041
O 1.0205 9.2970 4.8873
O 1.9439 0.6649 4.1719
O 3.1561 4.9290 1.3886
O 3.3213 5.8565 4.1409
O 4.5335 10.9251 1.3576
O 3.3888 2.5248 5.3842
O 4.6010 3.0690 2.6009
```